Computed powder X-ray diffraction pattern of TmSc2Cu4Si2Ge2 for Cu Kα X-rays, from a DFT-relaxed cell (GGA-PBE, OQMD).

```
data_TmSc2Cu4Si2Ge2
_chemical_formula_sum 'Tm2 Sc4 Cu8 Si4 Ge4'
_symmetry_space_group_name_H-M 'I m m m'
_symmetry_Int_Tables_number 71
_symmetry_space_group_name_Hall '-I 2 2'
_cell_length_a 3.9891
_cell_length_b 6.5851
_cell_length_c 13.3436
_cell_angle_alpha 90.00
_cell_angle_beta 90.00
_cell_angle_gamma 90.00
loop_
_atom_site_label
_atom_site_fract_x
_atom_site_fract_y
_atom_site_fract_z
_atom_site_occupancy
Tm1 0.0000 0.0000 0.0000 1
Sc1 0.0000 0.5000 0.1269 1
Cu1 0.0000 0.3072 0.3240 1
Si1 0.0000 0.0000 0.2201 1
Ge1 0.0000 0.1897 0.5000 1
```

Principal peaks in the range 2θ = 10–80°, sorted by position:
29.4 deg, I = 46, hkl 1 1 2; 36.0 deg, I = 100, hkl 1 2 1; 37.7 deg, I = 65, hkl 1 1 4; 45.5 deg, I = 35, hkl 2 0 0; 46.1 deg, I = 42, hkl 0 3 3; 49.5 deg, I = 37, hkl 1 2 5

=====

Computed powder X-ray diffraction pattern of YSc2Cu4Si2Ge2 for Cu Kα X-rays, from a DFT-relaxed cell (GGA-PBE, OQMD).

```
data_YSc2Cu4Si2Ge2
_chemical_formula_sum 'Y2 Sc4 Cu8 Si4 Ge4'
_symmetry_space_group_name_H-M 'I m m m'
_symmetry_Int_Tables_number 71
_symmetry_space_group_name_Hall '-I 2 2'
_cell_length_a 3.9952
_cell_length_b 6.6179
_cell_length_c 13.3762
_cell_angle_alpha 90.00
_cell_angle_beta 90.00
_cell_angle_gamma 90.00
loop_
_atom_site_label
_atom_site_fract_x
_atom_site_fract_y
_atom_site_fract_z
_atom_site_occupancy
Y1 0.0000 0.0000 0.0000 1
Sc1 0.0000 0.5000 0.1269 1
Cu1 0.0000 0.3074 0.3236 1
Si1 0.0000 0.0000 0.2212 1
Ge1 0.0000 0.1876 0.5000 1
```

Principal peaks in the range 2θ = 10–80°, sorted by position:
29.3 deg, I = 31, hkl 1 1 2; 35.9 deg, I = 100, hkl 1 2 1; 37.6 deg, I = 62, hkl 1 1 4; 45.4 deg, I = 42, hkl 2 0 0; 45.9 deg, I = 47, hkl 0 3 3; 49.4 deg, I = 34, hkl 1 2 5